For CsFe2Cl7, a DFT-relaxed cell (PBE, Alexandria) gives the simulated XRD peak list in this record (Cu Kα, 1.54184 Å).
Intensities are scaled so that the largest is 100.

Crystal structure
```
data_CsFe2Cl7
_cell_length_a 8.0750
_cell_length_b 18.3039
_cell_length_c 4.1480
_cell_angle_alpha 90.00
_cell_angle_beta 90.00
_cell_angle_gamma 90.00
_space_group_name_H-M_alt 'C m m m'
_space_group_IT_number 65
_space_group_name_Hall '-C 2 2'
loop_
_atom_site_label
_atom_site_type_symbol
_atom_site_fract_x
_atom_site_fract_y
_atom_site_fract_z
_atom_site_occupancy
Cs1 Cs 0.0000 0.0000 0.0000 1
Fe1 Fe 0.0000 0.3684 0.5000 1
Cl1 Cl 0.0000 0.3029 0.0000 1
Cl2 Cl 0.0000 0.5000 0.5000 1
Cl3 Cl 0.2217 0.1282 0.5000 1
```

Most intense lines, 2θ = 5–70°, by angle:
| Position (°2θ) | d/Å | I_rel |
| --- | --- | --- |
| 9.66 | 9.152 | 31 |
| 18.22 | 4.868 | 100 |
| 22.02 | 4.037 | 29 |
| 24.61 | 3.617 | 77 |
| 28.27 | 3.157 | 30 |
| 29.06 | 3.073 | 84 |
| 36.49 | 2.462 | 31 |
| 40.24 | 2.241 | 36 |
| 42.37 | 2.133 | 37 |
| 53.61 | 1.709 | 35 |

For MnNi7Sn2Pd2, a DFT-relaxed cell (PBE, Alexandria) gives the simulated XRD peak list in this record (Cu Kα, 1.54184 Å).
Intensities are scaled so that the largest is 100.

Crystal structure
```
data_MnNi7Sn2Pd2
_cell_length_a 4.8603
_cell_length_b 4.8597
_cell_length_c 14.4439
_cell_angle_alpha 90.00
_cell_angle_beta 99.60
_cell_angle_gamma 90.00
_space_group_name_H-M_alt 'C 1 2/m 1'
_space_group_IT_number 12
loop_
_space_group_symop_operation_xyz
'x,y,z'
'-x,-y,-z'
'-x,y,-z'
'x,-y,z'
'x+1/2,y+1/2,z'
'-x+1/2,-y+1/2,-z'
'-x+1/2,y+1/2,-z'
'x+1/2,-y+1/2,z'
loop_
_atom_site_label
_atom_site_type_symbol
_atom_site_fract_x
_atom_site_fract_y
_atom_site_fract_z
_atom_site_occupancy
Mn1 Mn 0.0000 0.0000 0.0000 1
Ni1 Ni 0.0000 0.5000 0.0000 1
Ni2 Ni 0.1871 0.2500 0.8727 1
Ni3 Ni 0.2285 0.5000 0.4576 1
Sn1 Sn 0.1805 0.0000 0.3639 1
Pd1 Pd 0.1320 0.5000 0.2672 1
```

Most intense lines, 2θ = 5–70°, by angle:
| Position (°2θ) | d/Å | I_rel |
| --- | --- | --- |
| 30.38 | 2.943 | 40 |
| 36.99 | 2.430 | 49 |
| 37.55 | 2.395 | 64 |
| 38.68 | 2.328 | 53 |
| 41.76 | 2.163 | 85 |
| 43.77 | 2.068 | 100 |
| 45.18 | 2.007 | 44 |
| 49.31 | 1.848 | 30 |
| 51.32 | 1.780 | 20 |
| 53.32 | 1.718 | 78 |